1.
This entry pairs a crystal structure of LiH6BrO7 with its calculated powder XRD pattern. Radiation: λ = 1.5418 Å (Cu Kα). Structure: a crystal structure in the Materials Project, relaxed with PBE.
No peak broadening, texture or thermal motion is included.

Largest 10 diffraction maxima, by angle, 5° ≤ 2θ ≤ 70°:
2theta, I (rel.)
12.94, 28
20.29, 100
22.51, 57
30.48, 66
31.40, 22
34.70, 22
38.23, 12
45.96, 12
47.49, 12
50.72, 21

```
LiH6BrO7
1.0
7.898 0.000 0.000
-3.949 6.840 0.000
0.000 0.000 5.697
Li H Br O
2 12 2 14
Direct
0.000 0.000 0.000
0.000 0.000 0.500
0.064 0.326 0.242
0.064 0.738 0.242
0.262 0.326 0.242
0.262 0.936 0.242
0.326 0.064 0.742
0.326 0.262 0.742
0.674 0.738 0.242
0.674 0.936 0.242
0.738 0.064 0.742
0.738 0.674 0.742
0.936 0.262 0.742
0.936 0.674 0.742
0.333 0.667 0.796
0.667 0.333 0.296
0.106 0.553 0.696
0.119 0.239 0.247
0.119 0.881 0.247
0.239 0.119 0.747
0.333 0.667 0.084
0.447 0.553 0.696
0.447 0.894 0.696
0.553 0.106 0.196
0.553 0.447 0.196
0.667 0.333 0.584
0.761 0.881 0.247
0.881 0.119 0.747
0.881 0.761 0.747
0.894 0.447 0.196
```

***

2.
This entry pairs a crystal structure of CsTeO3 with its calculated powder XRD pattern. Radiation: λ = 1.5418 Å (Cu Kα). Structure: a crystal structure in the Materials Project, relaxed with PBE.
No peak broadening, texture or thermal motion is included.

Largest 6 diffraction maxima, by angle, 5° ≤ 2θ ≤ 70°:
2theta, I (rel.)
29.66, 100
36.53, 2
42.44, 30
52.63, 40
61.57, 19
69.82, 18

```
CsTeO3
1.0
4.260 0.000 0.000
0.000 4.260 0.000
0.000 0.000 4.260
Cs Te O
1 1 3
Direct
0.000 0.000 0.000
0.500 0.500 0.500
0.000 0.500 0.500
0.500 0.000 0.500
0.500 0.500 0.000
```

***

3.
This entry pairs a crystal structure of Ba4MgCu4O8 with its calculated powder XRD pattern. Radiation: λ = 1.5418 Å (Cu Kα). Structure: a crystal structure in the Materials Project, relaxed with PBE.
No peak broadening, texture or thermal motion is included.

Largest 10 diffraction maxima, by angle, 5° ≤ 2θ ≤ 70°:
2theta, I (rel.)
28.47, 34
29.97, 48
30.21, 100
36.44, 55
36.58, 52
41.65, 27
41.98, 24
51.63, 19
53.30, 17
60.02, 18

```
Ba4MgCu4O8
1.0
5.963 0.000 0.000
0.000 3.541 0.000
-0.097 0.000 12.539
Ba Mg Cu O
4 1 4 8
Direct
0.006 0.000 0.149
0.491 0.000 0.628
0.509 0.000 0.372
0.994 0.000 0.851
0.500 0.000 0.000
0.004 0.500 0.385
0.495 0.500 0.844
0.505 0.500 0.156
0.996 0.500 0.615
0.228 0.500 0.501
0.235 0.500 0.739
0.250 0.500 0.261
0.281 0.500 0.001
0.719 0.500 0.999
0.750 0.500 0.739
0.765 0.500 0.261
0.772 0.500 0.499
```

***

4.
This entry pairs a crystal structure of KGaBP2H3O10 with its calculated powder XRD pattern. Radiation: λ = 1.5418 Å (Cu Kα). Structure: a crystal structure in the Materials Project, relaxed with PBE.
No peak broadening, texture or thermal motion is included.

Largest 10 diffraction maxima, by angle, 5° ≤ 2θ ≤ 70°:
2theta, I (rel.)
13.14, 46
15.42, 35
18.67, 35
21.95, 72
23.36, 100
29.68, 35
31.82, 56
32.43, 35
36.96, 43
37.35, 36

```
KGaBP2H3O10
1.0
7.190 0.000 0.000
2.476 7.951 0.000
2.161 1.635 8.099
K Ga B P H O
2 2 2 4 6 20
Direct
0.000 0.000 0.000
0.494 0.645 0.236
0.203 0.270 0.139
0.949 0.789 0.587
0.022 0.297 0.614
0.508 0.314 0.612
0.243 0.313 0.416
0.287 0.281 0.815
0.719 0.121 0.707
0.811 0.487 0.521
0.180 0.497 0.374
0.254 0.783 0.615
0.345 0.099 0.828
0.667 0.134 0.877
0.777 0.269 0.142
0.846 0.481 0.351
0.003 0.936 0.367
0.074 0.326 0.754
0.119 0.825 0.273
0.143 0.541 0.088
0.183 0.688 0.646
0.320 0.977 0.558
0.387 0.040 0.124
0.394 0.777 0.905
0.450 0.307 0.466
0.484 0.639 0.863
0.587 0.994 0.163
0.592 0.463 0.589
0.605 0.112 0.246
0.630 0.268 0.122
0.739 0.931 0.708
0.802 0.672 0.530
0.870 0.557 0.983
0.942 0.143 0.651
0.947 0.629 0.062
0.952 0.248 0.182
```

***

5.
This entry pairs a crystal structure of NaPd2Pb with its calculated powder XRD pattern. Radiation: λ = 1.5418 Å (Cu Kα). Structure: a crystal structure in the Materials Project, relaxed with PBE.
No peak broadening, texture or thermal motion is included.

Largest 6 diffraction maxima, by angle, 5° ≤ 2θ ≤ 70°:
2theta, I (rel.)
22.91, 38
37.85, 100
44.70, 21
54.60, 17
59.98, 9
68.35, 35

```
NaPd2Pb
1.0
6.723 0.000 0.000
0.000 6.723 0.000
0.000 0.000 6.723
Na Pd Pb
4 8 4
Direct
0.000 0.000 0.000
0.000 0.500 0.500
0.500 0.000 0.500
0.500 0.500 0.000
0.250 0.250 0.250
0.250 0.250 0.750
0.250 0.750 0.250
0.250 0.750 0.750
0.750 0.250 0.250
0.750 0.250 0.750
0.750 0.750 0.250
0.750 0.750 0.750
0.000 0.000 0.500
0.000 0.500 0.000
0.500 0.000 0.000
0.500 0.500 0.500
```

***

6.
This entry pairs a crystal structure of TeMo with its calculated powder XRD pattern. Radiation: λ = 1.5418 Å (Cu Kα). Structure: a crystal structure in the Materials Project, relaxed with PBE.
No peak broadening, texture or thermal motion is included.

Largest 10 diffraction maxima, by angle, 5° ≤ 2θ ≤ 70°:
2theta, I (rel.)
23.43, 10
29.10, 100
41.18, 83
42.07, 81
47.91, 1
51.21, 20
54.73, 1
58.44, 14
60.33, 27
67.72, 17

```
TeMo
1.0
4.385 0.000 0.000
-2.192 3.797 0.000
0.000 0.000 5.209
Te Mo
2 2
Direct
0.333 0.667 0.250
0.667 0.333 0.750
0.000 0.000 0.000
0.000 0.000 0.500
```

***

7.
This entry pairs a crystal structure of Tm2OsAu with its calculated powder XRD pattern. Radiation: λ = 1.5418 Å (Cu Kα). Structure: a crystal structure in the Materials Project, relaxed with PBE.
No peak broadening, texture or thermal motion is included.

Largest 4 diffraction maxima, by angle, 5° ≤ 2θ ≤ 70°:
2theta, I (rel.)
25.80, 1
36.81, 100
53.04, 18
66.31, 36

```
Tm2OsAu
1.0
6.906 0.000 0.000
0.000 6.906 0.000
0.000 0.000 6.906
Tm Os Au
8 4 4
Direct
0.250 0.250 0.250
0.250 0.250 0.750
0.250 0.750 0.250
0.250 0.750 0.750
0.750 0.250 0.250
0.750 0.250 0.750
0.750 0.750 0.250
0.750 0.750 0.750
0.000 0.000 0.000
0.000 0.500 0.500
0.500 0.000 0.500
0.500 0.500 0.000
0.000 0.000 0.500
0.000 0.500 0.000
0.500 0.000 0.000
0.500 0.500 0.500
```

***

8.
This entry pairs a crystal structure of Na3CoN2 with its calculated powder XRD pattern. Radiation: λ = 1.5418 Å (Cu Kα). Structure: a crystal structure in the Materials Project, relaxed with PBE.
No peak broadening, texture or thermal motion is included.

Largest 10 diffraction maxima, by angle, 5° ≤ 2θ ≤ 70°:
2theta, I (rel.)
16.51, 16
20.26, 70
31.17, 55
33.38, 100
35.47, 40
42.95, 91
47.92, 76
52.54, 41
55.46, 16
63.68, 23

```
Na3CoN2
1.0
-5.369 5.369 5.369
5.369 -5.369 5.369
5.369 5.369 -5.369
Na Co N
24 8 16
Direct
0.018 0.765 0.067
0.048 0.567 0.801
0.067 0.018 0.765
0.199 0.952 0.433
0.235 0.933 0.982
0.247 0.699 0.265
0.253 0.518 0.452
0.265 0.247 0.699
0.301 0.735 0.753
0.433 0.199 0.952
0.452 0.253 0.518
0.482 0.548 0.747
0.518 0.452 0.253
0.548 0.747 0.482
0.567 0.801 0.048
0.699 0.265 0.247
0.735 0.753 0.301
0.747 0.482 0.548
0.753 0.301 0.735
0.765 0.067 0.018
0.801 0.048 0.567
0.933 0.982 0.235
0.952 0.433 0.199
0.982 0.235 0.933
0.000 0.296 0.500
0.000 0.704 0.500
0.204 0.204 0.204
0.296 0.500 0.000
0.500 0.000 0.296
0.500 0.000 0.704
0.704 0.500 0.000
0.796 0.796 0.796
0.000 0.000 0.000
0.000 0.500 0.500
0.073 0.323 0.750
0.177 0.250 0.427
0.250 0.427 0.177
0.250 0.927 0.677
0.323 0.750 0.073
0.427 0.177 0.250
0.500 0.000 0.500
0.500 0.500 0.000
0.573 0.823 0.750
0.677 0.250 0.927
0.750 0.073 0.323
0.750 0.573 0.823
0.823 0.750 0.573
0.927 0.677 0.250
```

***

9.
This entry pairs a crystal structure of HgTeH7O7 with its calculated powder XRD pattern. Radiation: λ = 1.5418 Å (Cu Kα). Structure: a crystal structure in the Materials Project, relaxed with PBE.
No peak broadening, texture or thermal motion is included.

Largest 10 diffraction maxima, by angle, 5° ≤ 2θ ≤ 70°:
2theta, I (rel.)
10.54, 53
12.71, 43
16.20, 27
20.65, 100
21.18, 22
25.58, 27
29.24, 14
30.45, 14
32.43, 18
34.07, 23

```
HgTeH7O7
1.0
6.011 0.000 0.000
-0.127 6.970 0.000
-2.195 -0.299 8.390
Hg Te H O
2 2 14 14
Direct
0.185 0.445 0.095
0.815 0.555 0.905
0.500 0.000 0.000
0.500 0.500 0.500
0.007 0.963 0.682
0.067 0.538 0.409
0.162 0.872 0.395
0.242 0.018 0.191
0.295 0.179 0.503
0.377 0.795 0.753
0.409 0.256 0.798
0.591 0.744 0.202
0.623 0.205 0.247
0.705 0.821 0.497
0.758 0.982 0.809
0.838 0.128 0.605
0.933 0.462 0.591
0.993 0.037 0.318
0.156 0.009 0.365
0.196 0.630 0.428
0.230 0.049 0.077
0.293 0.897 0.800
0.355 0.286 0.585
0.459 0.367 0.300
0.464 0.262 0.917
0.536 0.738 0.083
0.541 0.633 0.700
0.645 0.714 0.415
0.707 0.103 0.200
0.770 0.951 0.923
0.804 0.370 0.572
0.844 0.991 0.635
```

***

10.
This entry pairs a crystal structure of ErAlNi4 with its calculated powder XRD pattern. Radiation: λ = 1.5418 Å (Cu Kα). Structure: a crystal structure in the Materials Project, relaxed with PBE.
No peak broadening, texture or thermal motion is included.

Largest 10 diffraction maxima, by angle, 5° ≤ 2θ ≤ 70°:
2theta, I (rel.)
22.10, 26
30.47, 40
30.73, 51
36.72, 55
42.14, 35
42.70, 79
43.28, 100
45.09, 43
59.50, 26
69.83, 23

```
ErAlNi4
1.0
4.981 0.000 0.000
0.000 8.430 0.000
0.000 0.000 4.022
Er Al Ni
2 2 8
Direct
0.000 0.000 0.000
0.500 0.500 0.000
0.000 0.500 0.500
0.500 0.000 0.500
0.000 0.334 0.000
0.000 0.666 0.000
0.250 0.250 0.500
0.250 0.750 0.500
0.500 0.166 0.000
0.500 0.834 0.000
0.750 0.250 0.500
0.750 0.750 0.500
```

***

11.
This entry pairs a crystal structure of Te4MoW3Se2S2 with its calculated powder XRD pattern. Radiation: λ = 1.5418 Å (Cu Kα). Structure: a crystal structure in the Materials Project, relaxed with PBE.
No peak broadening, texture or thermal motion is included.

Largest 10 diffraction maxima, by angle, 5° ≤ 2θ ≤ 70°:
2theta, I (rel.)
6.84, 56
11.41, 100
13.70, 15
30.38, 43
32.53, 15
35.68, 89
43.17, 49
44.93, 16
53.96, 31
66.37, 14

```
Te4MoW3Se2S2
1.0
3.399 0.000 0.000
-1.700 2.944 0.000
0.000 0.000 38.784
Te Mo W Se S
4 1 3 2 2
Direct
0.000 0.000 0.000
0.000 0.000 0.097
0.000 0.000 0.376
0.000 0.000 0.473
0.000 0.000 0.236
0.000 0.000 0.861
0.333 0.667 0.049
0.333 0.667 0.424
0.333 0.667 0.194
0.333 0.667 0.279
0.333 0.667 0.822
0.333 0.667 0.900
```